[1]
The following is a theoretical X-ray powder pattern of Sr2Nd4Sb3N2. It was derived from a structure optimized by DFT (GGA-PBE), using CuKα.
Peak positions follow from Bragg's law for the DFT cell and can differ from measured ones.

a = 13.550 Å, b = 13.550 Å, c = 13.550 Å
α = 159.05°, β = 159.05°, γ = 29.80°
Sites, in units of the cell vectors:
Sr 0.195 0.195 0.000
Sr 0.805 0.805 0.000
Nd 0.084 0.584 0.500
Nd 0.416 0.916 0.500
Nd 0.584 0.084 0.500
Nd 0.916 0.416 0.500
Sb 0.327 0.327 0.000
Sb 0.500 0.500 0.000
Sb 0.673 0.673 0.000
N 0.097 0.097 0.000
N 0.903 0.903 0.000

Main lines, in order of rising 2θ (2θ from 5° to 70°):
2θ (°), I/Imax
6.8, 18.8
26.5, 32.7
32.9, 100.0
36.5, 49.9
52.5, 17.2
63.4, 30.1

***

[2]
The following is a theoretical X-ray powder pattern of Nd2Th4Sb3N2. It was derived from a structure optimized by DFT (GGA-PBE), using CuKα.
Peak positions follow from Bragg's law for the DFT cell and can differ from measured ones.

a = 13.690 Å, b = 13.690 Å, c = 13.690 Å
α = 159.94°, β = 159.94°, γ = 28.51°
Sites, in units of the cell vectors:
Nd 0.198 0.198 0.000
Nd 0.802 0.802 0.000
Th 0.085 0.585 0.500
Th 0.415 0.915 0.500
Th 0.585 0.085 0.500
Th 0.915 0.415 0.500
Sb 0.323 0.323 0.000
Sb 0.500 0.500 0.000
Sb 0.677 0.677 0.000
N 0.103 0.103 0.000
N 0.897 0.897 0.000

Main lines, in order of rising 2θ (2θ from 5° to 70°):
2θ (°), I/Imax
27.3, 44.7
29.7, 26.4
33.4, 100.0
37.7, 51.0
54.4, 17.8
65.4, 29.6

***

[3]
The following is a theoretical X-ray powder pattern of Nd3SeN. It was derived from a structure optimized by DFT (GGA-PBE), using CuKα.
Peak positions follow from Bragg's law for the DFT cell and can differ from measured ones.

a = 9.934 Å, b = 9.934 Å, c = 7.148 Å
α = 90.00°, β = 90.00°, γ = 157.81°
Sites, in units of the cell vectors:
Nd 0.081 0.919 0.500
Nd 0.260 0.740 0.875
Nd 0.400 0.600 0.585
Nd 0.600 0.400 0.085
Nd 0.740 0.260 0.375
Nd 0.919 0.081 0.000
Se 0.340 0.660 0.222
Se 0.660 0.340 0.722
N 0.159 0.841 0.229
N 0.841 0.159 0.729

Main lines, in order of rising 2θ (2θ from 5° to 70°):
2θ (°), I/Imax
26.6, 23.9
27.4, 21.7
29.9, 100.0
31.0, 25.0
42.1, 17.7
45.1, 27.7

***

[4]
The following is a theoretical X-ray powder pattern of Nd2USe2N2. It was derived from a structure optimized by DFT (GGA-PBE), using CuKα.
Peak positions follow from Bragg's law for the DFT cell and can differ from measured ones.

a = 8.371 Å, b = 8.371 Å, c = 8.371 Å
α = 149.94°, β = 149.94°, γ = 43.03°
Sites, in units of the cell vectors:
Nd 0.122 0.122 0.000
Nd 0.878 0.878 0.000
U 0.500 0.500 0.000
Se 0.317 0.317 0.000
Se 0.683 0.683 0.000
N 0.000 0.500 0.500
N 0.500 0.000 0.500

Main lines, in order of rising 2θ (2θ from 5° to 70°):
2θ (°), I/Imax
11.4, 26.9
26.8, 40.6
29.1, 100.0
35.5, 98.4
41.6, 44.8
55.8, 53.9

***

[5]
The following is a theoretical X-ray powder pattern of NdSi3N5. It was derived from a structure optimized by DFT (GGA-PBE), using CuKα.
Peak positions follow from Bragg's law for the DFT cell and can differ from measured ones.

a = 4.799 Å, b = 7.867 Å, c = 11.308 Å
α = 90.00°, β = 90.00°, γ = 90.00°
Sites, in units of the cell vectors:
Nd 0.003 0.059 0.172
Nd 0.497 0.941 0.672
Nd 0.503 0.441 0.828
Nd 0.997 0.559 0.328
Si 0.015 0.293 0.583
Si 0.017 0.163 0.838
Si 0.027 0.466 0.041
Si 0.473 0.534 0.541
Si 0.483 0.837 0.338
Si 0.485 0.707 0.083
Si 0.515 0.207 0.417
Si 0.517 0.337 0.162
Si 0.527 0.034 0.959
Si 0.973 0.966 0.459
Si 0.983 0.663 0.662
Si 0.985 0.793 0.917
N 0.050 0.344 0.918
N 0.171 0.207 0.704
N 0.171 0.387 0.168
N 0.188 0.981 0.905
N 0.209 0.649 0.988
N 0.291 0.351 0.488
N 0.312 0.019 0.405
N 0.329 0.613 0.668
N 0.329 0.793 0.204
N 0.450 0.656 0.418
N 0.550 0.156 0.082
N 0.671 0.113 0.832
N 0.671 0.293 0.296
N 0.688 0.519 0.095
N 0.709 0.851 0.012
N 0.791 0.149 0.512
N 0.812 0.481 0.595
N 0.829 0.707 0.796
N 0.829 0.887 0.332
N 0.950 0.844 0.582

Main lines, in order of rising 2θ (2θ from 5° to 70°):
2θ (°), I/Imax
20.1, 40.1
30.4, 71.8
32.3, 100.0
33.7, 30.8
51.2, 33.4
64.4, 27.3

***

[6]
The following is a theoretical X-ray powder pattern of Nd3Si6N11. It was derived from a structure optimized by DFT (GGA-PBE), using CuKα.
Peak positions follow from Bragg's law for the DFT cell and can differ from measured ones.

a = 10.137 Å, b = 10.137 Å, c = 4.896 Å
α = 90.00°, β = 90.00°, γ = 90.00°
Sites, in units of the cell vectors:
Nd 0.000 0.000 0.000
Nd 0.182 0.318 0.014
Nd 0.318 0.818 0.014
Nd 0.500 0.500 0.000
Nd 0.682 0.182 0.014
Nd 0.818 0.682 0.014
Si 0.080 0.791 0.546
Si 0.118 0.618 0.057
Si 0.209 0.080 0.546
Si 0.291 0.580 0.546
Si 0.382 0.118 0.057
Si 0.420 0.291 0.546
Si 0.580 0.709 0.546
Si 0.618 0.882 0.057
Si 0.709 0.420 0.546
Si 0.791 0.920 0.546
Si 0.882 0.382 0.057
Si 0.920 0.209 0.546
N 0.000 0.500 0.084
N 0.077 0.771 0.193
N 0.079 0.180 0.658
N 0.154 0.654 0.711
N 0.180 0.921 0.658
N 0.229 0.077 0.193
N 0.271 0.577 0.193
N 0.320 0.421 0.658
N 0.346 0.154 0.711
N 0.421 0.680 0.658
N 0.423 0.271 0.193
N 0.500 0.000 0.084
N 0.577 0.729 0.193
N 0.579 0.320 0.658
N 0.654 0.846 0.711
N 0.680 0.579 0.658
N 0.729 0.423 0.193
N 0.771 0.923 0.193
N 0.820 0.079 0.658
N 0.846 0.346 0.711
N 0.921 0.820 0.658
N 0.923 0.229 0.193

Main lines, in order of rising 2θ (2θ from 5° to 70°):
2θ (°), I/Imax
18.1, 79.2
26.8, 63.3
27.8, 39.8
30.9, 71.3
33.4, 100.0
36.5, 42.8